No. 1
Structure and simulated powder diffraction line list of Ac2Cd2O5 (a crystal structure in OQMD, relaxed with PBE; Cu Kα (weighted mean of Kα1 and Kα2)).

Peak list (10 most intense, 2θ from 15° to 90°, low angle first)
2θ (°)  I (rel.)
20.56  12
29.23  56
31.23  100
37.68  14
41.81  32
53.10  46
56.78  16
65.14  12
68.70  10
84.78  12

Structural model:
a = 4.3206 Å, b = 4.3206 Å, c = 7.6516 Å
α = 90.00°, β = 90.00°, γ = 90.00°
Positions (direct):
Ac: 0.0000 0.0000 0.0000
Ac: 0.0000 0.0000 0.5000
Cd: 0.5000 0.5000 0.2178
Cd: 0.5000 0.5000 0.7822
O: 0.0000 0.5000 0.2062
O: 0.0000 0.5000 0.7938
O: 0.5000 0.0000 0.2062
O: 0.5000 0.0000 0.7938
O: 0.5000 0.5000 0.5000

No. 2
Structure and simulated powder diffraction line list of Ac3Sm2Cl (a crystal structure in OQMD, relaxed with PBE; Cu Kα (weighted mean of Kα1 and Kα2)).

Peak list (10 most intense, 2θ from 15° to 90°, low angle first)
2θ (°)  I (rel.)
28.22  34
28.63  69
29.84  33
32.00  100
33.10  17
41.53  25
45.61  19
49.94  24
54.35  23
59.27  29

Structural model:
a = 7.3083 Å, b = 7.3083 Å, c = 5.9885 Å
α = 90.00°, β = 90.00°, γ = 120.11°
Positions (direct):
Ac: 0.0000 0.0000 0.0000
Ac: 0.0000 0.5000 0.0000
Ac: 0.5000 0.0000 0.0000
Sm: 0.1665 0.8335 0.5000
Sm: 0.8335 0.1665 0.5000
Cl: 0.5000 0.5000 0.5000

Question: Which formula does entry 2 have?
Answer: Ac3Sm2Cl